Structure and calculated powder X-ray diffraction pattern of Tb15Sm4Sc (a DFT-relaxed cell (PBE, Alexandria); Cu Kα).
Peak positions follow from Bragg's law for the DFT cell and can differ from measured ones.

Structural model:
Unit cell a=5.041 b=5.041 c=25.147 alpha=90.00 beta=90.00 gamma=90.00
Element x y z (fractional)
Tb (0.000, 0.000, 0.000)
Tb (0.000, 0.000, 0.197)
Tb (0.000, 0.000, 0.399)
Tb (0.000, 0.000, 0.601)
Tb (0.000, 0.000, 0.803)
Tb (0.000, 0.500, 0.096)
Tb (0.000, 0.500, 0.298)
Tb (0.000, 0.500, 0.500)
Tb (0.000, 0.500, 0.702)
Tb (0.000, 0.500, 0.904)
Tb (0.500, 0.000, 0.096)
Tb (0.500, 0.000, 0.298)
Tb (0.500, 0.000, 0.500)
Tb (0.500, 0.000, 0.702)
Tb (0.500, 0.000, 0.904)
Sm (0.500, 0.500, 0.197)
Sm (0.500, 0.500, 0.399)
Sm (0.500, 0.500, 0.601)
Sm (0.500, 0.500, 0.803)
Sc (0.500, 0.500, 0.000)

The 6 most intense peaks (10° ≤ 2θ ≤ 90°), by angle:
- hkl 1 1 5, 30.75 deg, I = 100
- hkl 2 0 0, 35.65 deg, I = 50
- hkl 2 2 0, 51.30 deg, I = 36
- hkl 3 1 5, 60.97 deg, I = 29
- hkl 1 1 15, 61.08 deg, I = 13
- hkl 2 2 10, 64.04 deg, I = 12